The following is a theoretical powder diffraction line list of Ca2GeMoO6. It was derived from a DFT-relaxed cell (GGA+U, Alexandria), using Cu Ka.

Cell lengths 5.327, 5.327, 4.667 Å; angles 90.00, 90.00, 90.00 degrees
Space group P4mm (No. 99)
One atom of each set of equivalent atoms:
Ca 0.000 0.500 0.000 [2 per cell]
Ge 0.000 0.000 0.569 [1 per cell]
Mo 0.500 0.500 0.566 [1 per cell]
O 0.000 0.000 0.191 [1 per cell]
O 0.241 0.241 0.690 [4 per cell]
O 0.500 0.500 0.157 [1 per cell]

Main lines, sorted by position (5 to 70 degrees two-theta):
2θ = 19.02°, rel. 27
2θ = 23.62°, rel. 27
2θ = 30.50°, rel. 100
2θ = 33.65°, rel. 36
2θ = 45.74°, rel. 14
2θ = 48.32°, rel. 30
2θ = 52.11°, rel. 25
2θ = 58.22°, rel. 30